No. 1
For CsZrAlO4, a structure optimized by DFT (GGA-PBE) gives the simulated powder X-ray diffraction pattern in this record (λ = 1.5418 Å (Cu Kα)).
No peak broadening, texture or thermal motion is included.

Crystal structure
Lattice parameters (Å, degrees): 5.508 5.772 7.794 90.00 93.20 90.00
Element x y z (fractional)
Cs1 0.237 0.250 0.099
Cs2 0.763 0.750 0.901
Zr1 0.179 0.750 0.471
Zr2 0.821 0.250 0.529
Al1 0.346 0.250 0.641
Al2 0.654 0.750 0.359
O1 0.121 0.024 0.648
O2 0.121 0.476 0.648
O3 0.370 0.750 0.243
O4 0.463 0.250 0.435
O5 0.537 0.750 0.565
O6 0.630 0.250 0.757
O7 0.879 0.524 0.352
O8 0.879 0.976 0.352

Peak list (6 most intense, 10° ≤ 2θ ≤ 80°, sorted by position)
2θ = 24.70°, intensity 79
2θ = 25.54°, intensity 100
2θ = 27.33°, intensity 39
2θ = 27.65°, intensity 76
2θ = 30.99°, intensity 59
2θ = 44.26°, intensity 39

=====

No. 2
For CsPaAlS4, a structure optimized by DFT (GGA-PBE) gives the simulated powder X-ray diffraction pattern in this record (λ = 1.5418 Å (Cu Kα)).
No peak broadening, texture or thermal motion is included.

Crystal structure
Lattice parameters (Å, degrees): 6.534 6.726 9.595 90.00 108.76 90.00
Element x y z (fractional)
Cs1 0.235 0.250 0.441
Cs2 0.765 0.750 0.559
Pa1 0.276 0.250 0.952
Pa2 0.724 0.750 0.048
Al1 0.270 0.750 0.158
Al2 0.730 0.250 0.842
S1 0.048 0.750 0.925
S2 0.068 0.750 0.305
S3 0.491 0.504 0.811
S4 0.491 0.996 0.811
S5 0.509 0.004 0.189
S6 0.509 0.496 0.189
S7 0.932 0.250 0.695
S8 0.952 0.250 0.075

Peak list (6 most intense, 10° ≤ 2θ ≤ 80°, sorted by position)
2θ = 19.50°, intensity 100
2θ = 24.18°, intensity 30
2θ = 26.50°, intensity 32
2θ = 30.92°, intensity 37
2θ = 32.19°, intensity 24
2θ = 33.14°, intensity 24